# 1
Na2SrTc2N4: calculated powder diffractogram (a wavelength of 1.5418 Å), based on a structure optimized by DFT (GGA-PBE).

Cell and atoms:
Unit cell a=11.9333 b=3.3610 c=8.9041 alpha=90.00 beta=124.34 gamma=90.00
Space group C2/m (No. 12)
One atom of each set of equivalent atoms:
Na  0.1396  0.0000  0.2275 (multiplicity 4)
Sr  0.0000  0.0000  0.5000 (multiplicity 2)
Tc  0.1543  0.5000  0.8826 (multiplicity 4)
N  0.0241  0.5000  0.2942 (multiplicity 4)
N  0.2337  0.0000  0.8335 (multiplicity 4)

The 12 most intense peaks (2θ from 10° to 90°), by angle:
2θ = 12.0°, rel. 160; 2θ = 15.0°, rel. 1000; 2θ = 20.4°, rel. 92; 2θ = 30.2°, rel. 262; 2θ = 32.6°, rel. 397; 2θ = 33.7°, rel. 230; 2θ = 36.1°, rel. 246; 2θ = 36.7°, rel. 102; 2θ = 37.9°, rel. 116; 2θ = 38.3°, rel. 143; 2θ = 48.8°, rel. 157; 2θ = 62.5°, rel. 104

=====

# 2
Zr2Si4NiPt3: calculated powder diffractogram (a wavelength of 1.5418 Å), based on a structure optimized by DFT (GGA-PBE).

Cell and atoms:
Unit cell a=3.8615 b=3.8615 c=10.6549 alpha=90.00 beta=90.00 gamma=90.00
Space group P-4m2 (No. 115)
One atom of each set of equivalent atoms:
Zr  0.0000  0.5000  0.2215 (multiplicity 2)
Si  0.0000  0.0000  0.5000 (multiplicity 1)
Si  0.0000  0.5000  0.8644 (multiplicity 2)
Si  0.5000  0.5000  0.5000 (multiplicity 1)
Ni  0.5000  0.5000  0.0000 (multiplicity 1)
Pt  0.0000  0.0000  0.0000 (multiplicity 1)
Pt  0.0000  0.5000  0.6410 (multiplicity 2)

The 12 most intense peaks (2θ from 10° to 90°), by angle:
2θ = 24.5°, rel. 347; 2θ = 25.1°, rel. 315; 2θ = 28.5°, rel. 976; 2θ = 33.9°, rel. 530; 2θ = 34.3°, rel. 572; 2θ = 37.0°, rel. 1000; 2θ = 47.1°, rel. 679; 2θ = 47.7°, rel. 503; 2θ = 48.8°, rel. 421; 2θ = 56.0°, rel. 310; 2θ = 59.5°, rel. 233; 2θ = 70.1°, rel. 286